# 1
Calculated powder XRD pattern of Ac2Al5Ga3 for Cu Kα (weighted mean of Kα1 and Kα2), from a structure optimized by DFT (GGA-PBE).
Peak positions follow from Bragg's law for the DFT cell and can differ from measured ones.

The 10 most intense peaks (15 to 90 degrees two-theta), sorted by position:
2θ = 15.8°, I 33
2θ = 21.5°, I 62
2θ = 28.4°, I 45
2θ = 31.3°, I 93
2θ = 32.7°, I 100
2θ = 40.6°, I 46
2θ = 45.4°, I 41
2θ = 52.1°, I 45
2θ = 62.5°, I 31
2θ = 68.8°, I 24

Structure:
```
data_Ac2Al5Ga3
_chemical_formula_sum 'Ac2 Al5 Ga3'
_space_group_name_H-M_alt 'P -4 m 2'
_space_group_IT_number 115
_space_group_name_Hall 'P -4 -2'
_cell_length_a 4.4467
_cell_length_b 4.4467
_cell_length_c 11.1872
_cell_angle_alpha 90.00
_cell_angle_beta 90.00
_cell_angle_gamma 90.00
loop_
_atom_site_label
_atom_site_type_symbol
_atom_site_fract_x
_atom_site_fract_y
_atom_site_fract_z
Ac1 Ac 0.0000 0.5000 0.2490
Al1 Al 0.0000 0.0000 0.0000
Al2 Al 0.0000 0.0000 0.5000
Al3 Al 0.0000 0.5000 0.8658
Al4 Al 0.5000 0.5000 0.0000
Ga1 Ga 0.0000 0.5000 0.6324
Ga2 Ga 0.5000 0.5000 0.5000
```

---

# 2
Calculated powder XRD pattern of Ac5AlGa2 for Cu Kα (weighted mean of Kα1 and Kα2), from a structure optimized by DFT (GGA-PBE).
Peak positions follow from Bragg's law for the DFT cell and can differ from measured ones.

The 10 most intense peaks (15 to 90 degrees two-theta), sorted by position:
2θ = 24.2°, I 21
2θ = 24.7°, I 27
2θ = 29.3°, I 100
2θ = 31.0°, I 45
2θ = 33.3°, I 19
2θ = 34.3°, I 35
2θ = 46.4°, I 17
2θ = 48.4°, I 24
2θ = 48.5°, I 16
2θ = 52.1°, I 19

Structure:
```
data_Ac5AlGa2
_chemical_formula_sum 'Ac20 Al4 Ga8'
_space_group_name_H-M_alt 'I 4/m c m'
_space_group_IT_number 140
_space_group_name_Hall '-I 4 2c'
_cell_length_a 8.2777
_cell_length_b 8.2777
_cell_length_c 16.1367
_cell_angle_alpha 90.00
_cell_angle_beta 90.00
_cell_angle_gamma 90.00
loop_
_atom_site_label
_atom_site_type_symbol
_atom_site_fract_x
_atom_site_fract_y
_atom_site_fract_z
Ac1 Ac 0.0000 0.0000 0.0000
Ac2 Ac 0.1742 0.3258 0.1472
Al1 Al 0.0000 0.0000 0.2500
Ga1 Ga 0.1132 0.3868 0.5000
```

---

# 3
Calculated powder XRD pattern of Ac4Al3Ga for Cu Kα (weighted mean of Kα1 and Kα2), from a structure optimized by DFT (GGA-PBE).
Peak positions follow from Bragg's law for the DFT cell and can differ from measured ones.

The 10 most intense peaks (15 to 90 degrees two-theta), sorted by position:
2θ = 19.9°, I 34
2θ = 25.0°, I 67
2θ = 28.4°, I 100
2θ = 29.0°, I 61
2θ = 29.7°, I 25
2θ = 35.5°, I 28
2θ = 37.4°, I 23
2θ = 45.5°, I 28
2θ = 46.9°, I 24
2θ = 50.8°, I 26

Structure:
```
data_Ac4Al3Ga
_chemical_formula_sum 'Ac4 Al3 Ga1'
_space_group_name_H-M_alt 'P m m 2'
_space_group_IT_number 25
_space_group_name_Hall 'P 2 -2'
_cell_length_a 4.4187
_cell_length_b 4.8120
_cell_length_c 12.0434
_cell_angle_alpha 90.00
_cell_angle_beta 90.00
_cell_angle_gamma 90.00
loop_
_atom_site_label
_atom_site_type_symbol
_atom_site_fract_x
_atom_site_fract_y
_atom_site_fract_z
Ac1 Ac 0.0000 0.0000 0.0000
Ac2 Ac 0.0000 0.5000 0.4958
Ac3 Ac 0.5000 0.0000 0.7111
Ac4 Ac 0.5000 0.5000 0.2134
Al1 Al 0.0000 0.5000 0.7922
Al2 Al 0.5000 0.0000 0.4155
Al3 Al 0.5000 0.5000 0.9190
Ga1 Ga 0.0000 0.0000 0.2890
```

---

# 4
Calculated powder XRD pattern of AcAl6Ga12 for Cu Kα (weighted mean of Kα1 and Kα2), from a structure optimized by DFT (GGA-PBE).
Peak positions follow from Bragg's law for the DFT cell and can differ from measured ones.

The 10 most intense peaks (15 to 90 degrees two-theta), sorted by position:
2θ = 25.0°, I 17
2θ = 25.8°, I 20
2θ = 32.3°, I 68
2θ = 33.1°, I 100
2θ = 37.1°, I 20
2θ = 42.3°, I 26
2θ = 43.2°, I 27
2θ = 48.3°, I 17
2θ = 48.7°, I 35
2θ = 58.9°, I 16

Structure:
```
data_AcAl6Ga12
_chemical_formula_sum 'Ac3 Al18 Ga36'
_space_group_name_H-M_alt 'R -3 m'
_space_group_IT_number 166
_space_group_name_Hall '-R 3 2"'
_cell_length_a 11.7577
_cell_length_b 11.7577
_cell_length_c 9.4272
_cell_angle_alpha 90.00
_cell_angle_beta 90.00
_cell_angle_gamma 120.00
loop_
_atom_site_label
_atom_site_type_symbol
_atom_site_fract_x
_atom_site_fract_y
_atom_site_fract_z
Ac1 Ac 0.0000 0.0000 0.0000
Al1 Al 0.0538 0.5269 0.2304
Ga1 Ga 0.0000 0.3929 0.5000
Ga2 Ga 0.0839 0.1678 0.3038
```

---

# 5
Calculated powder XRD pattern of Ac2Al6Ga3 for Cu Kα (weighted mean of Kα1 and Kα2), from a structure optimized by DFT (GGA-PBE).
Peak positions follow from Bragg's law for the DFT cell and can differ from measured ones.

The 10 most intense peaks (15 to 90 degrees two-theta), sorted by position:
2θ = 22.4°, I 33
2θ = 30.3°, I 100
2θ = 33.1°, I 19
2θ = 34.5°, I 15
2θ = 39.3°, I 31
2θ = 40.3°, I 23
2θ = 41.1°, I 15
2θ = 50.4°, I 20
2θ = 58.1°, I 20
2θ = 65.7°, I 21

Structure:
```
data_Ac2Al6Ga3
_chemical_formula_sum 'Ac2 Al6 Ga3'
_space_group_name_H-M_alt 'P -6 2 m'
_space_group_IT_number 189
_space_group_name_Hall 'P -6 -2'
_cell_length_a 7.9426
_cell_length_b 7.9426
_cell_length_c 4.3946
_cell_angle_alpha 90.00
_cell_angle_beta 90.00
_cell_angle_gamma 120.00
loop_
_atom_site_label
_atom_site_type_symbol
_atom_site_fract_x
_atom_site_fract_y
_atom_site_fract_z
Ac1 Ac 0.3333 0.6667 0.0000
Al1 Al 0.0000 0.1901 0.0000
Al2 Al 0.0000 0.7118 0.5000
Ga1 Ga 0.0000 0.3759 0.5000
```

---

# 6
Calculated powder XRD pattern of Ac3Al2GaGe6 for Cu Kα (weighted mean of Kα1 and Kα2), from a structure optimized by DFT (GGA-PBE).
Peak positions follow from Bragg's law for the DFT cell and can differ from measured ones.

The 10 most intense peaks (15 to 90 degrees two-theta), sorted by position:
2θ = 19.0°, I 73
2θ = 26.0°, I 84
2θ = 28.0°, I 84
2θ = 34.1°, I 100
2θ = 34.8°, I 71
2θ = 38.6°, I 75
2θ = 42.0°, I 28
2θ = 44.6°, I 50
2θ = 57.9°, I 28
2θ = 61.5°, I 47

Structure:
```
data_Ac3Al2GaGe6
_chemical_formula_sum 'Ac3 Al2 Ga1 Ge6'
_space_group_name_H-M_alt 'P -3 m 1'
_space_group_IT_number 164
_space_group_name_Hall '-P 3 2"'
_cell_length_a 6.3691
_cell_length_b 6.3691
_cell_length_c 8.7402
_cell_angle_alpha 90.00
_cell_angle_beta 90.00
_cell_angle_gamma 120.00
loop_
_atom_site_label
_atom_site_type_symbol
_atom_site_fract_x
_atom_site_fract_y
_atom_site_fract_z
Ac1 Ac 0.0000 0.0000 0.0000
Ac2 Ac 0.3333 0.6667 0.6282
Al1 Al 0.3333 0.6667 0.0231
Ga1 Ga 0.0000 0.0000 0.5000
Ge1 Ge 0.1955 0.3910 0.2782
```